(1)
Starting from a GGA-PBE-relaxed structure, the PXRD pattern of Ta2Si3Pt2 was simulated for Cu Kα X-rays.
Kinematic intensities with the Lorentz-polarization factor, no thermal factor.

Structure:
a = 8.3000 Å, b = 8.3000 Å, c = 8.3000 Å
α = 28.42°, β = 28.42°, γ = 28.42°
Element x y z (fractional)
Ta 0.0000 0.0000 0.0000
Ta 0.4954 0.4954 0.4954
Si 0.3900 0.3900 0.3900
Si 0.6121 0.6121 0.6121
Si 0.8610 0.8610 0.8610
Pt 0.2478 0.2478 0.2478
Pt 0.7483 0.7483 0.7483

Top 8 peaks for 2θ = 10–80°, sorted by position:
| Position (°2θ) | Rel. int. |
| --- | --- |
| 29.4 | 100 |
| 39.5 | 68 |
| 44.5 | 52 |
| 54.2 | 19 |
| 61.0 | 19 |
| 65.6 | 23 |
| 72.6 | 16 |
| 78.5 | 19 |

---

(2)
Starting from a GGA-PBE-relaxed structure, the PXRD pattern of TaSiPt was simulated for Cu Kα X-rays.
Kinematic intensities with the Lorentz-polarization factor, no thermal factor.

Structure:
a = 6.4554 Å, b = 3.8388 Å, c = 7.4420 Å
α = 90.00°, β = 90.00°, γ = 90.00°
Element x y z (fractional)
Ta 0.0252 0.2500 0.1632
Ta 0.4748 0.7500 0.6632
Ta 0.5252 0.2500 0.3368
Ta 0.9748 0.7500 0.8368
Si 0.2301 0.7500 0.3749
Si 0.2699 0.2500 0.8749
Si 0.7301 0.7500 0.1251
Si 0.7699 0.2500 0.6251
Pt 0.1537 0.2500 0.5692
Pt 0.3463 0.7500 0.0692
Pt 0.6537 0.2500 0.9308
Pt 0.8463 0.7500 0.4308

Top 8 peaks for 2θ = 10–80°, sorted by position:
| Position (°2θ) | Rel. int. |
| --- | --- |
| 27.7 | 19 |
| 29.6 | 23 |
| 36.4 | 100 |
| 38.4 | 38 |
| 38.9 | 20 |
| 43.8 | 24 |
| 47.4 | 22 |
| 71.4 | 17 |

---

(3)
Starting from a GGA-PBE-relaxed structure, the PXRD pattern of TaSiPt was simulated for Cu Kα X-rays.
Kinematic intensities with the Lorentz-polarization factor, no thermal factor.

Structure:
a = 6.4239 Å, b = 6.4239 Å, c = 3.8835 Å
α = 90.00°, β = 90.00°, γ = 120.00°
Element x y z (fractional)
Ta 0.0000 0.5922 0.0000
Ta 0.4078 0.4078 0.0000
Ta 0.5922 0.0000 0.0000
Si 0.0000 0.0000 0.0000
Si 0.3333 0.6667 0.5000
Si 0.6667 0.3333 0.5000
Pt 0.0000 0.2647 0.5000
Pt 0.2647 0.0000 0.5000
Pt 0.7353 0.7353 0.5000

Top 8 peaks for 2θ = 10–80°, sorted by position:
| Position (°2θ) | Rel. int. |
| --- | --- |
| 27.8 | 22 |
| 36.3 | 100 |
| 39.9 | 41 |
| 43.0 | 39 |
| 46.8 | 19 |
| 65.0 | 17 |
| 65.4 | 23 |
| 79.0 | 17 |

---

(4)
Starting from a GGA-PBE-relaxed structure, the PXRD pattern of Tb4Si3Pt was simulated for Cu Kα X-rays.
Kinematic intensities with the Lorentz-polarization factor, no thermal factor.

Structure:
a = 5.7829 Å, b = 3.9398 Å, c = 7.8674 Å
α = 90.00°, β = 90.89°, γ = 90.00°
Element x y z (fractional)
Tb 0.0000 0.0000 0.0000
Tb 0.2348 0.5000 0.6568
Tb 0.4919 0.5000 0.1349
Tb 0.7296 0.0000 0.5027
Si 0.2366 0.0000 0.3653
Si 0.7471 0.5000 0.7838
Si 0.9879 0.5000 0.2875
Pt 0.4813 0.0000 0.8634

Top 8 peaks for 2θ = 10–80°, sorted by position:
| Position (°2θ) | Rel. int. |
| --- | --- |
| 11.2 | 46 |
| 29.8 | 71 |
| 32.2 | 100 |
| 32.8 | 51 |
| 33.2 | 45 |
| 35.6 | 41 |
| 40.2 | 39 |
| 40.5 | 38 |

---

(5)
Starting from a GGA-PBE-relaxed structure, the PXRD pattern of SiTePt was simulated for Cu Kα X-rays.
Kinematic intensities with the Lorentz-polarization factor, no thermal factor.

Structure:
a = 6.2204 Å, b = 6.3159 Å, c = 12.6129 Å
α = 90.00°, β = 90.00°, γ = 90.00°
Element x y z (fractional)
Si 0.1292 0.1667 0.0611
Si 0.1292 0.3333 0.5611
Si 0.3708 0.6667 0.0611
Si 0.3708 0.8333 0.5611
Si 0.6292 0.1667 0.4389
Si 0.6292 0.3333 0.9389
Si 0.8708 0.6667 0.4389
Si 0.8708 0.8333 0.9389
Te 0.1169 0.5837 0.8252
Te 0.1169 0.9163 0.3252
Te 0.3831 0.0837 0.8252
Te 0.3831 0.4163 0.3252
Te 0.6169 0.5837 0.6748
Te 0.6169 0.9163 0.1748
Te 0.8831 0.0837 0.6748
Te 0.8831 0.4163 0.1748
Pt 0.0251 0.6870 0.6139
Pt 0.0251 0.8130 0.1139
Pt 0.4749 0.1870 0.6139
Pt 0.4749 0.3130 0.1139
Pt 0.5251 0.6870 0.8861
Pt 0.5251 0.8130 0.3861
Pt 0.9749 0.1870 0.8861
Pt 0.9749 0.3130 0.3861

Top 8 peaks for 2θ = 10–80°, sorted by position:
| Position (°2θ) | Rel. int. |
| --- | --- |
| 24.6 | 100 |
| 28.3 | 67 |
| 28.7 | 42 |
| 29.2 | 67 |
| 32.9 | 43 |
| 46.1 | 44 |
| 47.9 | 62 |
| 48.4 | 47 |

---

(6)
Starting from a GGA-PBE-relaxed structure, the PXRD pattern of TmSiPt2 was simulated for Cu Kα X-rays.
Kinematic intensities with the Lorentz-polarization factor, no thermal factor.

Structure:
a = 7.2477 Å, b = 6.9725 Å, c = 5.4785 Å
α = 90.00°, β = 90.00°, γ = 90.00°
Element x y z (fractional)
Tm 0.0255 0.2500 0.1350
Tm 0.4745 0.7500 0.6350
Tm 0.5255 0.2500 0.3650
Tm 0.9745 0.7500 0.8650
Si 0.1189 0.7500 0.3653
Si 0.3811 0.2500 0.8653
Si 0.6189 0.7500 0.1347
Si 0.8811 0.2500 0.6347
Pt 0.1830 0.0500 0.5915
Pt 0.1830 0.4500 0.5915
Pt 0.3170 0.5500 0.0915
Pt 0.3170 0.9500 0.0915
Pt 0.6830 0.0500 0.9085
Pt 0.6830 0.4500 0.9085
Pt 0.8170 0.5500 0.4085
Pt 0.8170 0.9500 0.4085

Top 8 peaks for 2θ = 10–80°, sorted by position:
| Position (°2θ) | Rel. int. |
| --- | --- |
| 32.9 | 75 |
| 35.0 | 83 |
| 35.7 | 100 |
| 37.4 | 69 |
| 40.8 | 89 |
| 43.8 | 53 |
| 44.1 | 59 |
| 65.3 | 63 |

---

(7)
Starting from a GGA-PBE-relaxed structure, the PXRD pattern of YSi3Pt4 was simulated for Cu Kα X-rays.
Kinematic intensities with the Lorentz-polarization factor, no thermal factor.

Structure:
a = 5.6538 Å, b = 3.7262 Å, c = 6.5775 Å
α = 90.00°, β = 96.33°, γ = 90.00°
Element x y z (fractional)
Y 0.0000 0.0000 0.0000
Si 0.2541 0.0000 0.5370
Si 0.4483 0.5000 0.8942
Si 0.7779 0.5000 0.3489
Pt 0.0531 0.5000 0.6770
Pt 0.2344 0.5000 0.2930
Pt 0.5472 0.0000 0.1486
Pt 0.6688 0.0000 0.6096

Top 8 peaks for 2θ = 10–80°, sorted by position:
| Position (°2θ) | Rel. int. |
| --- | --- |
| 27.3 | 32 |
| 28.7 | 100 |
| 36.6 | 50 |
| 38.8 | 57 |
| 41.4 | 77 |
| 43.8 | 37 |
| 48.9 | 33 |
| 71.8 | 27 |

---

(8)
Starting from a GGA-PBE-relaxed structure, the PXRD pattern of Sm3Pt was simulated for Cu Kα X-rays.
Kinematic intensities with the Lorentz-polarization factor, no thermal factor.

Structure:
a = 7.1722 Å, b = 9.8413 Å, c = 6.5661 Å
α = 90.00°, β = 90.00°, γ = 90.00°
Element x y z (fractional)
Sm 0.0261 0.2500 0.1358
Sm 0.1798 0.0607 0.6734
Sm 0.1798 0.4393 0.6734
Sm 0.3202 0.5607 0.1734
Sm 0.3202 0.9393 0.1734
Sm 0.4739 0.7500 0.6358
Sm 0.5261 0.2500 0.3642
Sm 0.6798 0.0607 0.8266
Sm 0.6798 0.4393 0.8266
Sm 0.8202 0.5607 0.3266
Sm 0.8202 0.9393 0.3266
Sm 0.9739 0.7500 0.8642
Pt 0.1149 0.7500 0.4386
Pt 0.3851 0.2500 0.9386
Pt 0.6149 0.7500 0.0614
Pt 0.8851 0.2500 0.5614

Top 8 peaks for 2θ = 10–80°, sorted by position:
| Position (°2θ) | Rel. int. |
| --- | --- |
| 29.8 | 36 |
| 30.5 | 53 |
| 30.9 | 59 |
| 31.3 | 100 |
| 33.0 | 65 |
| 33.8 | 66 |
| 35.2 | 45 |
| 37.1 | 53 |

---

(9)
Starting from a GGA-PBE-relaxed structure, the PXRD pattern of Sm5Sn9Pt7 was simulated for Cu Kα X-rays.
Kinematic intensities with the Lorentz-polarization factor, no thermal factor.

Structure:
a = 4.3800 Å, b = 14.9943 Å, c = 14.9943 Å
α = 151.69°, β = 90.00°, γ = 90.00°
Element x y z (fractional)
Sm 0.0000 0.0000 0.0000
Sm 0.0000 0.5063 0.6848
Sm 0.0000 0.6848 0.5063
Sm 0.5000 0.3306 0.8739
Sm 0.5000 0.8739 0.3306
Sn 0.0000 0.1997 0.9369
Sn 0.0000 0.2258 0.6283
Sn 0.0000 0.6283 0.2258
Sn 0.0000 0.9369 0.1997
Sn 0.5000 0.2153 0.3268
Sn 0.5000 0.3268 0.2153
Sn 0.5000 0.5754 0.8949
Sn 0.5000 0.6653 0.6653
Sn 0.5000 0.8949 0.5754
Pt 0.0000 0.0215 0.6036
Pt 0.0000 0.4069 0.4069
Pt 0.0000 0.6036 0.0215
Pt 0.5000 0.2093 0.5032
Pt 0.5000 0.5032 0.2093
Pt 0.5000 0.8279 0.9769
Pt 0.5000 0.9769 0.8279

Top 8 peaks for 2θ = 10–80°, sorted by position:
| Position (°2θ) | Rel. int. |
| --- | --- |
| 32.1 | 99 |
| 32.4 | 36 |
| 34.2 | 100 |
| 36.9 | 28 |
| 37.1 | 59 |
| 41.2 | 68 |
| 41.8 | 24 |
| 42.9 | 27 |

---

(10)
Starting from a GGA-PBE-relaxed structure, the PXRD pattern of Sm7Te2Pt2 was simulated for Cu Kα X-rays.
Kinematic intensities with the Lorentz-polarization factor, no thermal factor.

Structure:
a = 9.6746 Å, b = 9.6746 Å, c = 9.6746 Å
α = 156.04°, β = 66.18°, γ = 119.34°
Element x y z (fractional)
Sm 0.0000 0.0000 0.0000
Sm 0.2896 0.4177 0.8720
Sm 0.3037 0.6221 0.6817
Sm 0.5457 0.4177 0.1280
Sm 0.6196 0.2641 0.3554
Sm 0.9087 0.2641 0.6446
Sm 0.9404 0.6221 0.3183
Te 0.2627 0.7627 0.5000
Te 0.6660 0.6660 0.0000
Pt 0.1653 0.9273 0.2381
Pt 0.6892 0.9273 0.7619

Top 8 peaks for 2θ = 10–80°, sorted by position:
| Position (°2θ) | Rel. int. |
| --- | --- |
| 29.3 | 34 |
| 32.1 | 39 |
| 32.7 | 100 |
| 33.3 | 37 |
| 35.5 | 20 |
| 37.2 | 30 |
| 45.1 | 25 |
| 56.5 | 21 |

---

(11)
Starting from a GGA-PBE-relaxed structure, the PXRD pattern of Sn3Pt was simulated for Cu Kα X-rays.
Kinematic intensities with the Lorentz-polarization factor, no thermal factor.

Structure:
a = 6.3823 Å, b = 6.3834 Å, c = 8.5995 Å
α = 89.90°, β = 89.96°, γ = 60.03°
Element x y z (fractional)
Sn 0.0000 0.0000 0.0000
Sn 0.0082 0.6455 0.6911
Sn 0.2427 0.3404 0.0008
Sn 0.3044 0.9297 0.6907
Sn 0.3559 0.2801 0.3818
Sn 0.5887 0.3491 0.6911
Sn 0.6069 0.6967 0.3810
Sn 0.6605 0.5816 0.0006
Sn 0.9403 0.9482 0.3816
Pt 0.3005 0.6415 0.1930
Pt 0.6337 0.9741 0.8663
Pt 0.9670 0.3089 0.5223

Top 8 peaks for 2θ = 10–80°, sorted by position:
| Position (°2θ) | Rel. int. |
| --- | --- |
| 19.1 | 52 |
| 26.3 | 82 |
| 29.9 | 58 |
| 34.1 | 64 |
| 35.0 | 77 |
| 42.4 | 100 |
| 44.6 | 53 |
| 49.5 | 56 |

---

(12)
Starting from a GGA-PBE-relaxed structure, the PXRD pattern of Sn4Pt was simulated for Cu Kα X-rays.
Kinematic intensities with the Lorentz-polarization factor, no thermal factor.

Structure:
a = 6.6387 Å, b = 6.6387 Å, c = 6.4897 Å
α = 90.00°, β = 90.00°, γ = 121.18°
Element x y z (fractional)
Sn 0.0418 0.2903 0.0833
Sn 0.2097 0.4582 0.5833
Sn 0.2903 0.0418 0.5833
Sn 0.4582 0.2097 0.0833
Sn 0.5418 0.7903 0.9167
Sn 0.7097 0.9582 0.4167
Sn 0.7903 0.5418 0.4167
Sn 0.9582 0.7097 0.9167
Pt 0.2500 0.7500 0.2500
Pt 0.7500 0.2500 0.7500

Top 8 peaks for 2θ = 10–80°, sorted by position:
| Position (°2θ) | Rel. int. |
| --- | --- |
| 15.3 | 46 |
| 30.2 | 81 |
| 31.8 | 62 |
| 34.5 | 100 |
| 41.8 | 83 |
| 44.7 | 48 |
| 44.8 | 48 |
| 65.5 | 35 |